Starting from a PBE-relaxed structure, the powder XRD pattern of Nd4HOsCl2 was simulated for Cu Kα.

Principal peaks in the range 10° ≤ 2θ ≤ 90°, most intense first:
hkl	d/Å	I/Imax
1 1 1	2.920	100
2 0 -2	2.882	50
0 0 1	7.539	50
3 1 -1	1.937	32
1 1 -3	2.188	32
1 1 2	2.341	21

Crystal structure
Cell lengths 6.646, 3.995, 7.887 Å; angles 90.00, 107.08, 90.00 degrees
Space group P2/m (No. 10)
Unique sites:
Nd (0.229, 0.000, 0.207) x2
Nd (0.253, 0.500, 0.793) x2
H (0.000, 0.500, 0.000) x1
Os (0.500, 0.000, 0.000) x1
Cl (0.000, 0.000, 0.500) x1
Cl (0.500, 0.500, 0.500) x1



Starting from a PBE-relaxed structure, the powder XRD pattern of Ba2PrRu3O12 was simulated for Cu Kα.

Principal peaks in the range 10° ≤ 2θ ≤ 90°, most intense first:
hkl	d/Å	I/Imax
1 1 3	3.053	100
2 0 2	2.978	70
0 2 1	3.140	66
0 1 5	2.898	60
2 2 0	1.848	57
1 2 5	1.941	39

Crystal structure
Cell lengths 7.3904, 7.3904, 16.2515 Å; angles 90.00, 90.00, 120.00 degrees
Space group R-3m (No. 166, hexagonal axes)
Unique sites:
Ba (0.0000, 0.0000, 0.1096) x6
Pr (0.0000, 0.0000, 0.5000) x3
Ru (0.0000, 0.5000, 0.0000) x9
O (0.0407, 0.5204, 0.8855) x18
O (0.0738, 0.5369, 0.3139) x18



Starting from a PBE-relaxed structure, the powder XRD pattern of La4Ga was simulated for Cu Kα.

Principal peaks in the range 10° ≤ 2θ ≤ 90°, most intense first:
hkl	d/Å	I/Imax
1 1 2	2.921	100
2 1 1	2.762	86
2 1 0	2.973	74
1 0 3	2.326	54
1 0 2	3.252	42
2 0 1	3.036	39

Crystal structure
Cell lengths 6.648, 6.648, 7.458 Å; angles 90.00, 90.00, 90.00 degrees
Space group P-42_1c (No. 114)
Unique sites:
La (0.125, 0.267, 0.347) x8
Ga (0.000, 0.000, 0.000) x2



Starting from a PBE-relaxed structure, the powder XRD pattern of TbSm2Ho12 was simulated for Cu Kα.

Principal peaks in the range 10° ≤ 2θ ≤ 90°, most intense first:
hkl	d/Å	I/Imax
0 1 7	2.940	100
0 2 0	2.787	69
1 1 -4	2.741	63
1 1 -3	2.852	46
0 1 8	2.663	36
1 0 -6	2.757	35

Crystal structure
Cell lengths 3.533, 5.573, 24.318 Å; angles 90.00, 94.12, 90.00 degrees
Space group P2/m (No. 10)
Unique sites:
Tb (0.000, 0.000, 0.000) x1
Sm (0.364, 0.000, 0.728) x2
Ho (0.068, 0.000, 0.136) x2
Ho (0.100, 0.500, 0.201) x2
Ho (0.165, 0.500, 0.331) x2
Ho (0.216, 0.000, 0.428) x2
Ho (0.276, 0.500, 0.555) x2
Ho (0.463, 0.500, 0.926) x2